Starting from DFT lattice parameters and positions (GGA-PBE), the X-ray powder pattern of Ac5Tb3 was computed for Cu Kα.

Structure:
```
data_Ac5Tb3
_cell_length_a 3.8898
_cell_length_b 3.8898
_cell_length_c 21.0460
_cell_angle_alpha 90.00
_cell_angle_beta 90.00
_cell_angle_gamma 90.00
_space_group_name_H-M_alt 'P 4/m m m'
_space_group_IT_number 123
_space_group_name_Hall '-P 4 2'
loop_
_atom_site_label
_atom_site_fract_x
_atom_site_fract_y
_atom_site_fract_z
Ac1 0.0000 0.0000 0.0000
Ac2 0.0000 0.0000 0.2410
Ac3 0.5000 0.5000 0.3781
Tb1 0.0000 0.0000 0.5000
Tb2 0.5000 0.5000 0.1192
```

Main lines, low angle first (2θ = 10–90°):
index	2θ/deg	Rel. int.
1 0 4	28.54	1000
1 1 0	32.55	364
0 0 8	34.08	149
2 0 0	46.70	136
1 1 8	47.85	234
2 1 4	55.65	320